# PrSn4Pd2
Calculated powder XRD pattern, λ = 1.5418 Å (Cu Kα). Input: a GGA-PBE-relaxed structure.
Kinematic intensities with the Lorentz-polarization factor, no thermal factor.

Structural model:
Lattice parameters (Å, degrees): 19.136 4.608 7.397 90.00 90.00 90.00
Element x y z (fractional)
Pr: 0.141 0.250 0.006
Pr: 0.359 0.750 0.506
Pr: 0.641 0.250 0.494
Pr: 0.859 0.750 0.994
Sn: 0.032 0.750 0.860
Sn: 0.066 0.250 0.486
Sn: 0.180 0.750 0.308
Sn: 0.197 0.750 0.729
Sn: 0.303 0.250 0.229
Sn: 0.320 0.250 0.808
Sn: 0.434 0.750 0.986
Sn: 0.468 0.250 0.360
Sn: 0.532 0.750 0.640
Sn: 0.566 0.250 0.014
Sn: 0.680 0.750 0.192
Sn: 0.697 0.750 0.771
Sn: 0.803 0.250 0.271
Sn: 0.820 0.250 0.692
Sn: 0.934 0.750 0.514
Sn: 0.968 0.250 0.140
Pd: 0.036 0.750 0.239
Pd: 0.212 0.250 0.528
Pd: 0.288 0.750 0.028
Pd: 0.464 0.250 0.739
Pd: 0.536 0.750 0.261
Pd: 0.712 0.250 0.972
Pd: 0.788 0.750 0.472
Pd: 0.964 0.250 0.761

The 8 most intense peaks (2θ from 10° to 80°), most intense first:
d/Å  2θ (°)  I (rel.)  hkl
2.762  32.4  100  2 1 2
2.303  39.1  70  0 2 0
2.735  32.7  64  5 1 1
2.564  35.0  28  7 0 1
2.139  42.2  25  6 1 2
2.121  42.6  21  2 1 3
2.622  34.2  20  6 1 0
1.520  60.9  19  9 1 3